Starting from DFT lattice parameters and positions (PBE), the PXRD pattern of Ac2ErAlS6 was computed for Cu Kα, 1.54184 Å.
Intensities are scaled so that the largest is 100.

Most intense lines, 10° ≤ 2θ ≤ 80°, sorted by position:
d = 5.638 Å, 2θ 15.7, rel. 22.1; d = 4.914 Å, 2θ 18.1, rel. 15.7; d = 3.527 Å, 2θ 25.2, rel. 100.0; d = 3.442 Å, 2θ 25.9, rel. 70.1; d = 3.429 Å, 2θ 26.0, rel. 33.0; d = 3.014 Å, 2θ 29.6, rel. 16.4; d = 2.818 Å, 2θ 31.7, rel. 29.8; d = 2.472 Å, 2θ 36.3, rel. 22.0; d = 2.457 Å, 2θ 36.6, rel. 50.6; d = 2.052 Å, 2θ 44.1, rel. 18.0; d = 2.003 Å, 2θ 45.3, rel. 41.2; d = 1.982 Å, 2θ 45.8, rel. 16.7

Structural model:
```
Ac2ErAlS6
1.0
5.970 -3.429 0.000
5.970 3.429 0.000
-3.953 0.000 5.836
Ac Er Al S
2 1 1 6
Cartesian
2.032 0.000 1.311 Ac
5.956 0.000 4.526 Ac
-1.976 0.000 2.918 Er
5.970 0.000 0.000 Al
4.586 1.651 1.043 S
0.517 0.000 3.872 S
3.402 1.651 4.794 S
4.586 -1.651 1.043 S
7.470 0.000 1.965 S
3.402 -1.651 4.794 S
```